Diffraction record for Mg2Si. The powder XRD pattern is calculated, not measured: it uses DFT lattice parameters and positions (GGA-PBE) and Cu Kα (weighted mean of Kα1 and Kα2).
Kinematic intensities with the Lorentz-polarization factor, no thermal factor.

```
12
Lattice="5.5938 0.0000 0.0000 -1.5230 6.3610 0.0000 -1.4200 -1.5325 6.8766" Properties=species:S:1:pos:R:3 pbc="T T T"
Mg 0.0000 0.0000 0.0000
Mg -1.6286 4.8596 2.6054
Mg -0.3227 0.6394 4.9538
Mg -0.5979 3.6392 5.3326
Mg 1.6266 3.3341 1.0477
Mg 2.7927 -0.8045 3.8828
Mg 2.1914 2.5459 4.4245
Mg 4.2825 1.7941 2.2738
Si 1.2754 0.9113 2.4281
Si 2.8702 -0.2226 1.0011
Si 1.9843 0.1336 6.3287
Si 4.6461 3.6373 0.1549
```

The 10 most intense peaks (10° ≤ 2θ ≤ 90°), low angle first:
two_theta	I (rel.)	index
32.82	34	-1 2 1
33.27	33	2 0 -1
33.61	34	-2 1 1
34.45	100	0 2 -2
35.97	39	1 2 -1
38.81	73	1 0 -3
39.28	39	1 2 -2
39.48	40	2 0 1
39.83	31	-2 2 1
43.30	31	0 2 2